No. 1
Computed PXRD pattern of K4Cd4Pt for CuKα, from a crystal structure in Alexandria, relaxed with PBE.
No peak broadening, texture or thermal motion is included.

Most intense lines, 15 to 90 degrees two-theta, in order of rising 2θ:
(hkl)  2θ (°)  I/Imax
0 2 0  17.57  39
2 0 0  21.29  32
2 0 -2  21.44  97
2 2 -1  24.95  74
0 2 2  30.23  48
2 2 1  35.05  76
2 2 -3  35.29  73
0 4 0  35.57  100

Unit cell a=10.108 b=10.082 c=8.838 alpha=90.00 beta=124.32 gamma=90.00
Space group Cm (No. 8)
One atom of each set of equivalent atoms:
K1 0.000 0.000 0.000 x2
K2 0.038 0.500 0.999 x2
K3 0.475 0.231 0.411 x4
Cd1 0.219 0.229 0.897 x4
Cd2 0.254 0.000 0.513 x2
Cd3 0.297 0.500 0.513 x2
Pt1 0.121 0.000 0.705 x2

---

No. 2
Computed PXRD pattern of K2Cd5Pt4 for CuKα, from a crystal structure in Alexandria, relaxed with PBE.
No peak broadening, texture or thermal motion is included.

Most intense lines, 15 to 90 degrees two-theta, in order of rising 2θ:
(hkl)  2θ (°)  I/Imax
1 1 -1  17.58  100
1 1 2  33.31  20
2 2 -2  35.59  29
0 0 3  37.91  25
4 2 -1  39.02  16
4 0 1  39.48  19
4 2 -2  39.70  17
6 0 -1  41.31  18

Unit cell a=13.781 b=6.288 c=8.483 alpha=90.00 beta=122.97 gamma=90.00
Space group C2/m (No. 12)
One atom of each set of equivalent atoms:
K1 0.245 0.000 0.137 x4
Cd1 0.000 0.500 0.000 x2
Cd2 0.094 0.246 0.388 x8
Pt1 0.092 0.000 0.669 x4
Pt2 0.213 0.500 0.299 x4

---

No. 3
Computed PXRD pattern of KRbCdPt for CuKα, from a crystal structure in Alexandria, relaxed with PBE.
No peak broadening, texture or thermal motion is included.

Most intense lines, 15 to 90 degrees two-theta, in order of rising 2θ:
(hkl)  2θ (°)  I/Imax
1 1 1  25.63  93
2 0 1  27.63  94
0 0 3  30.75  35
2 0 -3  32.40  54
0 2 0  38.00  100
3 1 -2  39.43  87
3 1 2  49.65  55
0 2 4  57.42  38

Unit cell a=8.202 b=4.737 c=9.146 alpha=90.00 beta=107.50 gamma=90.00
Space group Cm (No. 8)
One atom of each set of equivalent atoms:
K1 0.000 0.000 0.000 x2
Rb1 0.172 0.000 0.513 x2
Cd1 0.248 0.500 0.244 x2
Pt1 0.416 0.000 0.246 x2

---

No. 4
Computed PXRD pattern of K7Rb2Cd for CuKα, from a crystal structure in Alexandria, relaxed with PBE.
No peak broadening, texture or thermal motion is included.

Most intense lines, 15 to 90 degrees two-theta, in order of rising 2θ:
(hkl)  2θ (°)  I/Imax
1 1 -2  15.21  56
3 1 0  17.75  45
4 2 -2  23.01  100
2 0 2  23.90  46
1 3 -2  25.91  67
2 0 -4  26.79  35
3 3 0  27.51  58
2 2 2  28.17  43

Unit cell a=20.456 b=12.053 c=13.944 alpha=90.00 beta=126.38 gamma=90.00
Space group C2/c (No. 15)
One atom of each set of equivalent atoms:
K1 0.000 0.150 0.250 x4
K2 0.080 0.364 0.088 x8
K3 0.129 0.268 0.805 x8
K4 0.192 0.386 0.518 x8
Rb1 0.149 0.004 0.100 x8
Cd1 0.000 0.486 0.250 x4

---

No. 5
Computed PXRD pattern of K6Rb9Cd for CuKα, from a crystal structure in Alexandria, relaxed with PBE.
No peak broadening, texture or thermal motion is included.

Most intense lines, 15 to 90 degrees two-theta, in order of rising 2θ:
(hkl)  2θ (°)  I/Imax
1 2 1  17.73  14
1 2 3  22.21  100
3 1 0  24.26  68
0 0 6  28.39  19
2 4 0  34.57  22
3 1 6  37.67  38
5 0 3  41.48  30
2 4 6  45.32  18

Unit cell a=11.603 b=11.603 c=18.864 alpha=90.00 beta=90.00 gamma=90.00
Space group I4/m (No. 87)
One atom of each set of equivalent atoms:
K1 0.000 0.000 0.188 x4
K2 0.100 0.705 0.000 x8
Rb1 0.000 0.000 0.500 x2
Rb2 0.114 0.688 0.341 x16
Cd1 0.000 0.000 0.000 x2

---

No. 6
Computed PXRD pattern of K4Rb2Cd for CuKα, from a crystal structure in Alexandria, relaxed with PBE.
No peak broadening, texture or thermal motion is included.

Most intense lines, 15 to 90 degrees two-theta, in order of rising 2θ:
(hkl)  2θ (°)  I/Imax
3 1 0  17.40  37
3 2 1  23.42  100
0 0 2  24.69  22
1 1 2  25.90  23
5 1 0  28.25  40
4 0 2  33.33  37
7 2 1  42.72  49
5 5 2  47.18  30

Unit cell a=16.108 b=16.108 c=7.221 alpha=90.00 beta=90.00 gamma=90.00
Space group I4/mcm (No. 140)
One atom of each set of equivalent atoms:
K1 0.091 0.188 0.000 x16
Rb1 0.111 0.389 0.500 x8
Cd1 0.000 0.000 0.250 x4

---

No. 7
Computed PXRD pattern of K10Rb6Cd for CuKα, from a crystal structure in Alexandria, relaxed with PBE.
No peak broadening, texture or thermal motion is included.

Most intense lines, 15 to 90 degrees two-theta, in order of rising 2θ:
(hkl)  2θ (°)  I/Imax
2 -1 1  16.92  39
2 1 1  23.10  100
3 0 0  23.50  47
2 -1 2  24.54  77
2 2 1  29.10  21
4 -1 1  30.17  27
3 -1 3  37.40  26
5 0 2  45.01  21

Unit cell a=13.1165 b=13.1165 c=8.7085 alpha=90.00 beta=90.00 gamma=120.00
Space group P-31m (No. 162)
One atom of each set of equivalent atoms:
K1 0.0000 0.2236 0.2438 x6
K2 0.3333 0.6667 0.0000 x2
K3 0.3333 0.6667 0.5000 x2
Rb1 0.0000 0.3960 0.7447 x6
Cd1 0.0000 0.0000 0.5000 x1

---

No. 8
Computed PXRD pattern of K2Rb4Cd for CuKα, from a crystal structure in Alexandria, relaxed with PBE.
No peak broadening, texture or thermal motion is included.

Most intense lines, 15 to 90 degrees two-theta, in order of rising 2θ:
(hkl)  2θ (°)  I/Imax
3 2 1  23.05  100
4 2 0  24.83  23
4 1 1  25.60  49
5 1 0  28.37  30
3 1 2  28.99  42
4 0 2  32.12  25
7 2 1  42.66  23
5 5 2  46.38  40

Unit cell a=16.039 b=16.039 c=7.751 alpha=90.00 beta=90.00 gamma=90.00
Space group I4/mcm (No. 140)
One atom of each set of equivalent atoms:
K1 0.100 0.400 0.000 x8
Rb1 0.094 0.194 0.500 x16
Cd1 0.000 0.000 0.250 x4